For TbPaGaAg, a crystal structure in Alexandria, relaxed with GGA-PBE gives the simulated powder XRD pattern in this record (Cu Kα X-rays).

Top 6 peaks for 5 to 70 degrees two-theta, sorted by position:
24.56°, I 14, (2 0 0); 35.02°, I 100, (2 2 0); 43.24°, I 5, (2 2 2); 50.36°, I 18, (4 0 0); 56.81°, I 7, (4 2 0); 62.81°, I 37, (4 2 2)

Structural model:
Lattice parameters (Å, degrees): 7.2480 7.2480 7.2480 90.00 90.00 90.00
Space group F-43m (No. 216)
Symmetry-distinct sites (fractional):
Tb (0.0000, 0.0000, 0.0000) [4 per cell]
Pa (0.0000, 0.0000, 0.5000) [4 per cell]
Ga (0.2500, 0.2500, 0.7500) [4 per cell]
Ag (0.2500, 0.2500, 0.2500) [4 per cell]



For GaAgPb, a crystal structure in Alexandria, relaxed with GGA-PBE gives the simulated powder XRD pattern in this record (Cu Kα X-rays).

Top 6 peaks for 5 to 70 degrees two-theta, sorted by position:
26.69°, I 14, (1 1 1); 30.25°, I 41, (1 1 2); 35.45°, I 100, (0 2 0); 37.04°, I 26, (2 0 0); 52.18°, I 19, (2 2 0); 63.61°, I 13, (1 3 3)

Structural model:
Lattice parameters (Å, degrees): 4.8536 5.0701 10.9718 90.00 90.00 90.00
Space group Cmm2 (No. 35)
Symmetry-distinct sites (fractional):
Ga (0.0000, 0.0000, 0.0000) [2 per cell]
Ga (0.0000, 0.0000, 0.2689) [2 per cell]
Ag (0.0000, 0.5000, 0.1399) [2 per cell]
Ag (0.0000, 0.5000, 0.8701) [2 per cell]
Pb (0.0000, 0.0000, 0.6918) [2 per cell]
Pb (0.0000, 0.5000, 0.4530) [2 per cell]



For Ga6AgPd12, a crystal structure in Alexandria, relaxed with GGA-PBE gives the simulated powder XRD pattern in this record (Cu Kα X-rays).

Top 6 peaks for 5 to 70 degrees two-theta, sorted by position:
33.99°, I 100, (1 3 1); 36.20°, I 62, (1 1 3); 40.68°, I 41, (3 2 1); 42.59°, I 45, (0 3 3); 47.74°, I 29, (0 2 4); 50.58°, I 54, (5 0 2)

Structural model:
Lattice parameters (Å, degrees): 11.5907 11.5907 8.2377 90.00 90.00 120.00
Space group R-3m (No. 166, hexagonal axes)
Symmetry-distinct sites (fractional):
Ga (0.0461, 0.5231, 0.2495) [18 per cell]
Ag (0.0000, 0.0000, 0.0000) [3 per cell]
Pd (0.0000, 0.3784, 0.5000) [18 per cell]
Pd (0.0815, 0.1630, 0.3171) [18 per cell]



For GaAgPd3, a crystal structure in Alexandria, relaxed with GGA-PBE gives the simulated powder XRD pattern in this record (Cu Kα X-rays).

Top 6 peaks for 5 to 70 degrees two-theta, sorted by position:
34.06°, I 23, (0 0 2); 37.62°, I 100, (2 0 1); 44.66°, I 13, (2 1 0); 48.43°, I 30, (2 0 2); 59.67°, I 19, (2 2 0); 63.32°, I 21, (2 0 3)

Structural model:
Lattice parameters (Å, degrees): 6.1987 6.1987 5.2646 90.00 90.00 120.00
Space group P6_3/mmc (No. 194)
Symmetry-distinct sites (fractional):
Ga (0.0000, 0.0000, 0.0000) [2 per cell]
Ag (0.3333, 0.6667, 0.2500) [2 per cell]
Pd (0.1896, 0.3793, 0.7500) [6 per cell]



For Ga2AgPd8, a crystal structure in Alexandria, relaxed with GGA-PBE gives the simulated powder XRD pattern in this record (Cu Kα X-rays).

Top 6 peaks for 5 to 70 degrees two-theta, sorted by position:
38.72°, I 100, (3 1 1); 39.00°, I 45, (2 0 -3); 41.11°, I 35, (8 0 -1); 45.19°, I 59, (5 1 -2); 47.03°, I 25, (6 0 2); 65.79°, I 17, (1 1 4)

Structural model:
Lattice parameters (Å, degrees): 17.5985 2.9120 6.9284 90.00 104.90 90.00
Space group C2/m (No. 12)
Symmetry-distinct sites (fractional):
Ga (0.2187, 0.0000, 0.2724) [4 per cell]
Ag (0.0000, 0.5000, 0.5000) [2 per cell]
Pd (0.0452, 0.0000, 0.8616) [4 per cell]
Pd (0.0947, 0.5000, 0.2246) [4 per cell]
Pd (0.1564, 0.0000, 0.5791) [4 per cell]
Pd (0.1801, 0.5000, 0.9400) [4 per cell]



For YGa2AgPd2, a crystal structure in Alexandria, relaxed with GGA-PBE gives the simulated powder XRD pattern in this record (Cu Kα X-rays).

Top 6 peaks for 5 to 70 degrees two-theta, sorted by position:
13.73°, I 14, (0 0 1); 36.39°, I 100, (1 0 2); 40.73°, I 87, (1 1 0); 48.53°, I 7, (0 1 3); 55.75°, I 28, (0 2 2); 59.95°, I 7, (1 1 3)

Structural model:
Lattice parameters (Å, degrees): 4.4307 4.4307 6.4513 90.00 90.00 120.00
Space group P-3m1 (No. 164)
Symmetry-distinct sites (fractional):
Y (0.0000, 0.0000, 0.0000) [1 per cell]
Ga (0.3333, 0.6667, 0.7068) [2 per cell]
Ag (0.0000, 0.0000, 0.5000) [1 per cell]
Pd (0.3333, 0.6667, 0.2813) [2 per cell]